CaNiBP2H3O10: computed X-ray powder pattern (Cu Kα (λ = 1.5418 Å)), based on DFT lattice parameters and positions (GGA+U).
Peak positions follow from Bragg's law for the DFT cell and can differ from measured ones.

The 10 most intense peaks (15 to 90 degrees two-theta), in order of rising 2θ:
2θ/deg	I_rel	hkl
18.99	59	2 0 0
20.08	58	1 1 1
21.95	35	1 1 -2
27.37	86	2 2 -1
27.94	35	3 1 -1
29.02	40	1 1 2
30.18	100	0 2 2
30.34	44	2 2 -2
31.26	41	1 1 -3
33.37	31	2 2 1

Atomic structure:
Cell lengths 10.3716, 8.4316, 9.2318 Å; angles 90.00, 115.70, 90.00 degrees
Space group C2/c (No. 15)
One atom of each set of equivalent atoms:
Ca (0.0000, 0.1254, 0.2500)
Ni (0.2500, 0.2500, 0.0000)
B (0.0000, 0.4718, 0.7500)
P (0.2180, 0.0646, 0.6729)
H (0.0158, 0.3218, 0.5846)
H (0.2500, 0.2500, 0.5000)
O (0.0580, 0.3811, 0.8993)
O (0.1150, 0.4150, 0.2569)
O (0.1584, 0.1873, 0.5289)
O (0.1638, 0.1025, 0.7986)
O (0.1651, 0.1039, 0.1138)